# Ba4ScReWO12
Simulated PXRD pattern, a wavelength of 1.5418 Å. Input: a cell relaxed with GGA+U.
Peak positions follow from Bragg's law for the DFT cell and can differ from measured ones.

Top 12 peaks for 2θ = 15–90°, most intense first:
Position (°2θ)  I_rel
28.2  100
30.6  89
42.1  51
53.0  34
54.5  18
63.8  17
17.8  16
48.4  16
71.2  15
21.6  14
67.3  12
58.3  11

Structural model:
```
Ba4ScReWO12
1.0
2.918 1.685 9.464
-2.918 1.685 9.464
0.000 -3.370 9.464
Ba Sc Re W O
4 1 1 1 12
direct
0.000 0.000 0.000 Ba
0.154 0.154 0.154 Ba
0.420 0.420 0.420 Ba
0.581 0.581 0.581 Ba
0.291 0.291 0.291 Sc
0.870 0.870 0.870 Re
0.710 0.710 0.710 W
0.070 0.070 0.599 O
0.070 0.599 0.070 O
0.147 0.681 0.681 O
0.424 0.904 0.904 O
0.504 0.504 0.986 O
0.504 0.986 0.504 O
0.599 0.070 0.070 O
0.681 0.147 0.681 O
0.681 0.681 0.147 O
0.904 0.424 0.904 O
0.904 0.904 0.424 O
0.986 0.504 0.504 O
```